Starting from a GGA+U-relaxed structure, the PXRD pattern of Li2MnO2F was computed for Cu Kα (weighted mean of Kα1 and Kα2).
No peak broadening, texture or thermal motion is included.

Structural model:
Cell lengths 5.161, 5.161, 5.161 Å; angles 100.10, 100.10, 119.90 degrees
Element x y z (fractional)
Li  0.089  0.911  0.500
Li  0.225  0.721  0.011
Li  0.721  0.225  0.511
Li  0.911  0.089  0.000
Mn  0.360  0.556  0.516
Mn  0.556  0.360  0.016
O  0.194  0.324  0.769
O  0.324  0.194  0.269
O  0.472  0.950  0.756
O  0.950  0.472  0.256
F  0.635  0.816  0.292
F  0.816  0.635  0.792

Main lines, by angle (2θ = 10–90°):
| 2theta | Rel. int. |
| --- | --- |
| 19.9 | 10 |
| 20.9 | 100 |
| 23.2 | 34 |
| 27.2 | 66 |
| 32.0 | 15 |
| 36.7 | 13 |
| 40.7 | 16 |
| 42.6 | 46 |
| 43.2 | 85 |
| 56.0 | 11 |
| 62.3 | 55 |
| 63.2 | 11 |

Starting from a GGA+U-relaxed structure, the PXRD pattern of LiMn2OF3 was computed for Cu Kα (weighted mean of Kα1 and Kα2).
No peak broadening, texture or thermal motion is included.

Structural model:
Cell lengths 6.418, 6.418, 10.895 Å; angles 106.38, 106.38, 58.45 degrees
Element x y z (fractional)
Li  0.223  0.223  0.074
Li  0.277  0.277  0.426
Li  0.723  0.723  0.574
Li  0.777  0.777  0.926
Mn  0.001  0.999  0.500
Mn  0.249  0.750  0.749
Mn  0.250  0.249  0.750
Mn  0.250  0.751  0.251
Mn  0.501  0.499  0.000
Mn  0.749  0.250  0.249
Mn  0.750  0.251  0.751
Mn  0.751  0.750  0.250
O  0.086  0.087  0.362
O  0.413  0.414  0.138
O  0.586  0.587  0.862
O  0.913  0.914  0.638
F  0.110  0.614  0.370
F  0.118  0.609  0.870
F  0.139  0.138  0.878
F  0.362  0.362  0.622
F  0.386  0.890  0.630
F  0.391  0.882  0.130
F  0.610  0.114  0.870
F  0.617  0.110  0.370
F  0.638  0.638  0.378
F  0.862  0.861  0.122
F  0.886  0.390  0.130
F  0.890  0.383  0.630

Main lines, by angle (2θ = 10–90°):
| 2theta | Rel. int. |
| --- | --- |
| 16.7 | 26 |
| 17.2 | 99 |
| 32.6 | 31 |
| 33.2 | 28 |
| 33.4 | 19 |
| 40.2 | 100 |
| 53.1 | 14 |
| 57.4 | 9 |
| 57.5 | 19 |
| 58.8 | 21 |
| 59.0 | 11 |
| 60.1 | 11 |

Starting from a GGA+U-relaxed structure, the PXRD pattern of LiMn6O4F8 was computed for Cu Kα (weighted mean of Kα1 and Kα2).
No peak broadening, texture or thermal motion is included.

Structural model:
Cell lengths 5.144, 6.053, 7.920 Å; angles 84.51, 88.02, 83.43 degrees
Element x y z (fractional)
Li  0.000  0.000  0.000
Mn  0.124  0.383  0.867
Mn  0.158  0.730  0.548
Mn  0.314  0.118  0.250
Mn  0.658  0.844  0.857
Mn  0.672  0.540  0.213
Mn  0.713  0.241  0.570
O  0.543  0.301  0.355
O  0.798  0.776  0.076
O  0.862  0.162  0.784
O  0.937  0.670  0.759
F  0.007  0.064  0.454
F  0.355  0.035  0.974
F  0.373  0.776  0.318
F  0.410  0.436  0.662
F  0.433  0.497  0.024
F  0.479  0.932  0.639
F  0.903  0.546  0.416
F  0.979  0.275  0.119

Main lines, by angle (2θ = 10–90°):
| 2theta | Rel. int. |
| --- | --- |
| 23.5 | 99 |
| 26.3 | 100 |
| 32.7 | 32 |
| 33.0 | 35 |
| 33.9 | 16 |
| 34.1 | 15 |
| 36.0 | 22 |
| 38.9 | 16 |
| 50.4 | 18 |
| 51.0 | 15 |
| 54.1 | 17 |
| 58.4 | 22 |

Starting from a GGA+U-relaxed structure, the PXRD pattern of Li6MnO3F2 was computed for Cu Kα (weighted mean of Kα1 and Kα2).
No peak broadening, texture or thermal motion is included.

Structural model:
Cell lengths 5.636, 5.636, 9.744 Å; angles 93.90, 93.90, 53.84 degrees
Element x y z (fractional)
Li  0.106  0.225  0.272
Li  0.165  0.813  0.563
Li  0.187  0.835  0.937
Li  0.225  0.106  0.772
Li  0.245  0.299  0.010
Li  0.299  0.245  0.510
Li  0.701  0.755  0.490
Li  0.755  0.701  0.990
Li  0.775  0.894  0.228
Li  0.813  0.165  0.063
Li  0.835  0.187  0.437
Li  0.894  0.775  0.728
Mn  0.348  0.652  0.250
Mn  0.652  0.348  0.750
O  0.075  0.702  0.079
O  0.262  0.738  0.750
O  0.298  0.925  0.421
O  0.702  0.075  0.579
O  0.738  0.262  0.250
O  0.925  0.298  0.921
F  0.034  0.571  0.371
F  0.429  0.966  0.129
F  0.571  0.034  0.871
F  0.966  0.429  0.629

Main lines, by angle (2θ = 10–90°):
| 2theta | Rel. int. |
| --- | --- |
| 17.7 | 57 |
| 18.3 | 70 |
| 21.3 | 55 |
| 21.9 | 100 |
| 24.5 | 78 |
| 26.5 | 40 |
| 27.3 | 35 |
| 35.2 | 39 |
| 38.2 | 30 |
| 39.2 | 51 |
| 41.3 | 58 |
| 42.6 | 39 |

Starting from a GGA+U-relaxed structure, the PXRD pattern of LiMn2O3F was computed for Cu Kα (weighted mean of Kα1 and Kα2).
No peak broadening, texture or thermal motion is included.

Structural model:
Cell lengths 5.990, 5.990, 5.990 Å; angles 61.74, 61.74, 61.74 degrees
Element x y z (fractional)
Li  0.106  0.106  0.106
Li  0.894  0.894  0.894
Mn  0.000  0.500  0.500
Mn  0.500  0.000  0.500
Mn  0.500  0.500  0.000
Mn  0.500  0.500  0.500
O  0.258  0.258  0.695
O  0.258  0.695  0.258
O  0.305  0.742  0.742
O  0.695  0.258  0.258
O  0.742  0.305  0.742
O  0.742  0.742  0.305
F  0.237  0.237  0.237
F  0.763  0.763  0.763

Main lines, by angle (2θ = 10–90°):
| 2theta | Rel. int. |
| --- | --- |
| 17.8 | 100 |
| 18.4 | 35 |
| 34.3 | 18 |
| 34.6 | 47 |
| 36.0 | 11 |
| 42.1 | 83 |
| 47.1 | 10 |
| 55.2 | 12 |
| 60.2 | 27 |
| 62.0 | 22 |
| 64.6 | 10 |
| 76.2 | 10 |

Starting from a GGA+U-relaxed structure, the PXRD pattern of LiMn2OF3 was computed for Cu Kα (weighted mean of Kα1 and Kα2).
No peak broadening, texture or thermal motion is included.

Structural model:
Cell lengths 10.989, 6.268, 5.073 Å; angles 90.00, 90.00, 90.00 degrees
Element x y z (fractional)
Li  0.091  0.250  0.060
Li  0.409  0.750  0.560
Li  0.591  0.250  0.440
Li  0.909  0.750  0.940
Mn  0.000  0.000  0.500
Mn  0.000  0.500  0.500
Mn  0.210  0.750  0.957
Mn  0.290  0.250  0.457
Mn  0.500  0.000  0.000
Mn  0.500  0.500  0.000
Mn  0.710  0.750  0.543
Mn  0.790  0.250  0.043
O  0.057  0.750  0.737
O  0.443  0.250  0.237
O  0.557  0.750  0.763
O  0.943  0.250  0.263
F  0.111  0.250  0.698
F  0.171  0.014  0.231
F  0.171  0.486  0.231
F  0.329  0.514  0.731
F  0.329  0.986  0.731
F  0.389  0.750  0.198
F  0.611  0.250  0.802
F  0.671  0.014  0.269
F  0.671  0.486  0.269
F  0.829  0.514  0.769
F  0.829  0.986  0.769
F  0.889  0.750  0.302

Main lines, by angle (2θ = 10–90°):
| 2theta | Rel. int. |
| --- | --- |
| 19.3 | 55 |
| 24.0 | 100 |
| 30.1 | 91 |
| 32.9 | 33 |
| 33.4 | 23 |
| 34.6 | 56 |
| 37.5 | 47 |
| 48.9 | 26 |
| 49.1 | 77 |
| 54.1 | 37 |
| 58.4 | 19 |
| 59.0 | 25 |

Starting from a GGA+U-relaxed structure, the PXRD pattern of Li2Mn2OF4 was computed for Cu Kα (weighted mean of Kα1 and Kα2).
No peak broadening, texture or thermal motion is included.

Structural model:
Cell lengths 4.020, 8.492, 13.722 Å; angles 98.39, 90.04, 90.02 degrees
Element x y z (fractional)
Li  0.000  0.000  0.000
Li  0.004  0.370  0.586
Li  0.482  0.796  0.556
Li  0.492  0.174  0.122
Li  0.498  0.170  0.614
Li  0.511  0.801  0.068
Li  0.986  0.379  0.079
Li  0.989  0.991  0.509
Mn  0.000  0.233  0.801
Mn  0.010  0.606  0.901
Mn  0.483  0.548  0.231
Mn  0.491  0.980  0.327
Mn  0.499  0.953  0.836
Mn  0.509  0.551  0.725
Mn  0.980  0.591  0.409
Mn  0.991  0.254  0.285
O  0.000  0.010  0.854
O  0.008  0.488  0.756
O  0.491  0.189  0.271
O  0.984  0.499  0.258
F  0.006  0.761  0.033
F  0.481  0.666  0.403
F  0.488  0.405  0.094
F  0.490  0.998  0.503
F  0.493  0.786  0.696
F  0.498  0.790  0.207
F  0.499  0.993  0.013
F  0.500  0.192  0.760
F  0.503  0.394  0.594
F  0.510  0.687  0.888
F  0.984  0.768  0.534
F  0.991  0.382  0.942
F  0.991  0.974  0.365
F  0.993  0.171  0.114
F  0.997  0.160  0.621
F  0.997  0.366  0.445

Main lines, by angle (2θ = 10–90°):
| 2theta | Rel. int. |
| --- | --- |
| 13.0 | 100 |
| 24.5 | 25 |
| 25.8 | 25 |
| 27.1 | 77 |
| 29.8 | 30 |
| 32.8 | 67 |
| 42.9 | 43 |
| 43.0 | 32 |
| 45.1 | 45 |
| 54.6 | 19 |
| 56.9 | 22 |
| 64.0 | 22 |

Starting from a GGA+U-relaxed structure, the PXRD pattern of LiMn2O3F was computed for Cu Kα (weighted mean of Kα1 and Kα2).
No peak broadening, texture or thermal motion is included.

Structural model:
Cell lengths 5.361, 5.964, 10.587 Å; angles 90.00, 91.25, 90.00 degrees
Element x y z (fractional)
Li  0.072  0.000  0.233
Li  0.378  0.994  0.736
Li  0.622  0.494  0.264
Li  0.928  0.500  0.767
Mn  0.005  0.432  0.018
Mn  0.014  0.441  0.492
Mn  0.489  0.678  0.995
Mn  0.498  0.691  0.506
Mn  0.502  0.191  0.494
Mn  0.511  0.178  0.005
Mn  0.986  0.941  0.508
Mn  0.995  0.932  0.982
O  0.113  0.665  0.902
O  0.173  0.694  0.590
O  0.183  0.187  0.583
O  0.313  0.933  0.077
O  0.345  0.426  0.092
O  0.382  0.447  0.402
O  0.618  0.947  0.598
O  0.655  0.926  0.908
O  0.687  0.433  0.923
O  0.817  0.687  0.417
O  0.827  0.194  0.410
O  0.887  0.165  0.098
F  0.180  0.174  0.859
F  0.300  0.943  0.367
F  0.700  0.443  0.633
F  0.820  0.674  0.141

Main lines, by angle (2θ = 10–90°):
| 2theta | Rel. int. |
| --- | --- |
| 16.8 | 100 |
| 33.4 | 7 |
| 34.4 | 13 |
| 37.3 | 8 |
| 38.0 | 8 |
| 38.3 | 15 |
| 38.7 | 15 |
| 47.8 | 6 |
| 48.8 | 11 |
| 48.9 | 6 |
| 49.3 | 12 |
| 60.4 | 9 |